No. 1
Computed powder X-ray diffraction pattern
Compound: La3DyBi4
Radiation: Cu Kα X-rays
Structure: DFT lattice parameters and positions (PBE)
Kinematic intensities with the Lorentz-polarization factor, no thermal factor.

Largest 10 diffraction maxima, low angle first, 10° ≤ 2θ ≤ 90°:
- 27.1 deg, 3.289 Å, rel. 100, (2 0 1)
- 38.7 deg, 2.325 Å, rel. 79, (0 0 2)
- 47.9 deg, 1.899 Å, rel. 29, (0 4 2)
- 55.9 deg, 1.644 Å, rel. 14, (4 0 2)
- 63.2 deg, 1.471 Å, rel. 32, (2 0 3)
- 70.0 deg, 1.343 Å, rel. 14, (2 4 3)
- 70.1 deg, 1.342 Å, rel. 14, (4 8 0)
- 83.1 deg, 1.162 Å, rel. 7, (4 8 2)
- 89.3 deg, 1.097 Å, rel. 11, (0 4 4)
- 89.4 deg, 1.096 Å, rel. 9, (0 12 0)

Atomic structure:
Lattice parameters (Å, degrees): 9.2939 13.1483 4.6568 90.00 90.00 90.00
Space group Cmmm (No. 65)
Inequivalent atoms, fractional coordinates:
La  0.0000  0.0000  0.0000 x2
La  0.2500  0.2500  0.5000 x4
Dy  0.0000  0.5000  0.0000 x2
Bi  0.0000  0.2543  0.0000 x4
Bi  0.2416  0.5000  0.5000 x4

No. 2
Computed powder X-ray diffraction pattern
Compound: Ca5Pa3P8
Radiation: Cu Kα X-rays
Structure: DFT lattice parameters and positions (PBE)
Kinematic intensities with the Lorentz-polarization factor, no thermal factor.

Largest 10 diffraction maxima, low angle first, 10° ≤ 2θ ≤ 90°:
- 13.3 deg, 6.671 Å, rel. 20, (1 0 1)
- 13.4 deg, 6.611 Å, rel. 60, (0 0 3)
- 25.6 deg, 3.485 Å, rel. 44, (0 2 1)
- 26.7 deg, 3.335 Å, rel. 46, (2 0 2)
- 31.0 deg, 2.882 Å, rel. 100, (0 2 4)
- 44.3 deg, 2.045 Å, rel. 37, (2 2 0)
- 44.6 deg, 2.031 Å, rel. 35, (2 0 8)
- 46.5 deg, 1.954 Å, rel. 20, (2 2 3)
- 55.1 deg, 1.668 Å, rel. 19, (4 0 4)
- 73.2 deg, 1.292 Å, rel. 16, (2 4 4)

Atomic structure:
Lattice parameters (Å, degrees): 8.1791 8.1791 19.8325 90.00 90.00 120.00
Space group R-3m (No. 166, hexagonal axes)
Inequivalent atoms, fractional coordinates:
Ca  0.0000  0.0000  0.0000 x3
Ca  0.0000  0.0000  0.5000 x3
Ca  0.0000  0.5000  0.0000 x9
Pa  0.0000  0.5000  0.5000 x9
P  0.0000  0.0000  0.2432 x6
P  0.0141  0.5070  0.7570 x18

No. 3
Computed powder X-ray diffraction pattern
Compound: Pm3DySn4
Radiation: Cu Kα X-rays
Structure: DFT lattice parameters and positions (PBE)
Kinematic intensities with the Lorentz-polarization factor, no thermal factor.

Largest 10 diffraction maxima, low angle first, 10° ≤ 2θ ≤ 90°:
- 32.3 deg, 2.769 Å, rel. 100, (2 2 0)
- 32.9 deg, 2.720 Å, rel. 23, (4 0 0)
- 39.6 deg, 2.275 Å, rel. 29, (0 2 2)
- 52.4 deg, 1.745 Å, rel. 24, (4 2 2)
- 57.3 deg, 1.608 Å, rel. 9, (0 4 0)
- 58.4 deg, 1.580 Å, rel. 17, (6 2 0)
- 67.3 deg, 1.391 Å, rel. 23, (2 4 2)
- 67.7 deg, 1.384 Å, rel. 11, (4 4 0)
- 82.7 deg, 1.167 Å, rel. 6, (8 2 2)
- 86.3 deg, 1.127 Å, rel. 11, (6 4 2)

Atomic structure:
Lattice parameters (Å, degrees): 10.8802 6.4326 6.4347 90.00 90.00 90.00
Space group Pmn2_1 (No. 31)
Inequivalent atoms, fractional coordinates:
Pm  0.0000  0.0232  0.0000 x2
Pm  0.2500  0.2514  0.2741 x4
Dy  0.0000  0.4836  0.5394 x2
Sn  0.0000  0.5145  0.0325 x2
Sn  0.0000  0.9906  0.5089 x2
Sn  0.2285  0.7507  0.2744 x4

No. 4
Computed powder X-ray diffraction pattern
Compound: Y3Zn6Au20
Radiation: Cu Kα X-rays
Structure: DFT lattice parameters and positions (PBE)
Kinematic intensities with the Lorentz-polarization factor, no thermal factor.

Largest 10 diffraction maxima, low angle first, 10° ≤ 2θ ≤ 90°:
- 30.7 deg, 2.911 Å, rel. 13, (4 2 0)
- 35.8 deg, 2.506 Å, rel. 100, (3 3 3)
- 39.1 deg, 2.301 Å, rel. 26, (4 4 0)
- 41.0 deg, 2.201 Å, rel. 42, (5 3 1)
- 41.6 deg, 2.170 Å, rel. 20, (6 0 0)
- 46.3 deg, 1.963 Å, rel. 12, (6 2 2)
- 60.3 deg, 1.534 Å, rel. 20, (6 6 0)
- 61.7 deg, 1.503 Å, rel. 14, (5 5 5)
- 65.3 deg, 1.429 Å, rel. 12, (9 1 1)
- 70.9 deg, 1.329 Å, rel. 20, (8 4 4)

Atomic structure:
Lattice parameters (Å, degrees): 13.0191 13.0191 13.0191 90.00 90.00 90.00
Space group Fm-3m (No. 225)
Inequivalent atoms, fractional coordinates:
Y  0.0000  0.0000  0.0000 x4
Y  0.2500  0.2500  0.2500 x8
Zn  0.0000  0.0000  0.2704 x24
Au  0.0000  0.1730  0.1730 x48
Au  0.1199  0.1199  0.3801 x32

No. 5
Computed powder X-ray diffraction pattern
Compound: Ag2HgBiPb
Radiation: Cu Kα X-rays
Structure: DFT lattice parameters and positions (PBE)
Kinematic intensities with the Lorentz-polarization factor, no thermal factor.

Largest 10 diffraction maxima, low angle first, 10° ≤ 2θ ≤ 90°:
- 16.9 deg, 5.246 Å, rel. 30, (1 0 0)
- 23.1 deg, 3.853 Å, rel. 31, (1 0 1)
- 24.0 deg, 3.709 Å, rel. 50, (1 1 0)
- 28.8 deg, 3.105 Å, rel. 85, (1 1 1)
- 31.5 deg, 2.838 Å, rel. 62, (0 0 2)
- 34.2 deg, 2.623 Å, rel. 100, (2 0 0)
- 47.2 deg, 1.926 Å, rel. 81, (2 0 2)
- 49.1 deg, 1.855 Å, rel. 36, (2 2 0)
- 59.5 deg, 1.553 Å, rel. 41, (2 2 2)
- 76.3 deg, 1.248 Å, rel. 31, (2 0 4)

Atomic structure:
Lattice parameters (Å, degrees): 5.2460 5.2460 5.6761 90.00 90.00 90.00
Space group P4/mmm (No. 123)
Inequivalent atoms, fractional coordinates:
Ag  0.0000  0.5000  0.0000 x2
Hg  0.0000  0.0000  0.0000 x1
Bi  0.5000  0.5000  0.5000 x1
Pb  0.0000  0.0000  0.5000 x1

No. 6
Computed powder X-ray diffraction pattern
Compound: Hg3Pd3PtO8
Radiation: Cu Kα X-rays
Structure: DFT lattice parameters and positions (PBE)
Kinematic intensities with the Lorentz-polarization factor, no thermal factor.

Largest 10 diffraction maxima, low angle first, 10° ≤ 2θ ≤ 90°:
- 14.7 deg, 6.036 Å, rel. 20, (0 0 1)
- 16.8 deg, 5.265 Å, rel. 30, (1 1 0)
- 29.6 deg, 3.013 Å, rel. 100, (4 0 -2)
- 34.1 deg, 2.633 Å, rel. 61, (2 2 0)
- 36.1 deg, 2.488 Å, rel. 72, (2 2 -2)
- 38.8 deg, 2.320 Å, rel. 29, (4 0 0)
- 54.0 deg, 1.699 Å, rel. 23, (2 2 2)
- 54.1 deg, 1.695 Å, rel. 21, (6 2 -2)
- 58.2 deg, 1.584 Å, rel. 18, (2 2 -4)
- 66.2 deg, 1.412 Å, rel. 21, (4 4 -2)

Atomic structure:
Lattice parameters (Å, degrees): 12.1865 6.3941 7.9254 90.00 130.40 90.00
Space group C2/m (No. 12)
Inequivalent atoms, fractional coordinates:
Hg  0.0000  0.0000  0.0000 x2
Hg  0.2500  0.2500  0.5000 x4
Pd  0.0000  0.5000  0.5000 x2
Pd  0.2500  0.2500  0.0000 x4
Pt  0.0000  0.0000  0.5000 x2
O  0.0448  0.2498  0.7022 x8
O  0.2059  0.0000  0.1085 x4
O  0.2061  0.0000  0.6221 x4

No. 7
Computed powder X-ray diffraction pattern
Compound: Ti12Tl3Cu
Radiation: Cu Kα X-rays
Structure: DFT lattice parameters and positions (PBE)
Kinematic intensities with the Lorentz-polarization factor, no thermal factor.

Largest 10 diffraction maxima, low angle first, 10° ≤ 2θ ≤ 90°:
- 21.4 deg, 4.151 Å, rel. 31, (1 0 0)
- 21.7 deg, 4.100 Å, rel. 15, (0 0 4)
- 30.5 deg, 2.935 Å, rel. 13, (1 1 0)
- 30.6 deg, 2.917 Å, rel. 26, (1 0 4)
- 37.7 deg, 2.387 Å, rel. 100, (1 1 4)
- 43.6 deg, 2.075 Å, rel. 34, (2 0 0)
- 44.2 deg, 2.050 Å, rel. 14, (0 0 8)
- 54.2 deg, 1.691 Å, rel. 11, (2 1 4)
- 63.8 deg, 1.458 Å, rel. 18, (2 0 8)
- 76.1 deg, 1.250 Å, rel. 24, (3 1 4)

Atomic structure:
Lattice parameters (Å, degrees): 4.1509 4.1509 16.3995 90.00 90.00 90.00
Space group P4/mmm (No. 123)
Inequivalent atoms, fractional coordinates:
Ti  0.0000  0.0000  0.0000 x1
Ti  0.0000  0.0000  0.2422 x2
Ti  0.0000  0.0000  0.5000 x1
Ti  0.0000  0.5000  0.1132 x4
Ti  0.0000  0.5000  0.3716 x4
Tl  0.5000  0.5000  0.2420 x2
Tl  0.5000  0.5000  0.5000 x1
Cu  0.5000  0.5000  0.0000 x1

No. 8
Computed powder X-ray diffraction pattern
Compound: Ce2CdBi4
Radiation: Cu Kα X-rays
Structure: DFT lattice parameters and positions (PBE)
Kinematic intensities with the Lorentz-polarization factor, no thermal factor.

Largest 10 diffraction maxima, low angle first, 10° ≤ 2θ ≤ 90°:
- 25.4 deg, 3.505 Å, rel. 17, (0 0 3)
- 25.8 deg, 3.453 Å, rel. 18, (1 0 2)
- 28.9 deg, 3.094 Å, rel. 24, (1 1 1)
- 32.5 deg, 2.757 Å, rel. 100, (1 1 2)
- 39.4 deg, 2.289 Å, rel. 38, (2 0 0)
- 47.4 deg, 1.917 Å, rel. 14, (2 0 3)
- 47.6 deg, 1.910 Å, rel. 14, (1 0 5)
- 53.0 deg, 1.726 Å, rel. 12, (2 0 4)
- 56.9 deg, 1.619 Å, rel. 13, (2 2 0)
- 67.0 deg, 1.396 Å, rel. 25, (3 1 2)

Atomic structure:
Lattice parameters (Å, degrees): 4.5783 4.5783 10.5163 90.00 90.00 90.00
Space group P-4m2 (No. 115)
Inequivalent atoms, fractional coordinates:
Ce  0.0000  0.5000  0.2444 x2
Cd  0.0000  0.0000  0.5000 x1
Bi  0.0000  0.0000  0.0000 x1
Bi  0.0000  0.5000  0.6833 x2
Bi  0.5000  0.5000  0.0000 x1